Structure and computed powder diffractogram of PaBrCl4 (a DFT-relaxed cell (PBE, Alexandria); copper Kα).

Main lines, by angle (2θ = 10–90°):
(0 1 1), 6.439 Å, I = 100.0
(0 0 2), 6.187 Å, I = 39.5
(1 0 0), 5.223 Å, I = 19.0
(1 0 -2), 5.190 Å, I = 18.2
(1 1 -1), 4.567 Å, I = 12.7
(0 1 3), 3.618 Å, I = 22.0
(0 2 2), 3.219 Å, I = 18.5
(2 0 -2), 2.869 Å, I = 17.3
(2 1 -3), 2.615 Å, I = 16.2
(0 3 3), 2.146 Å, I = 14.8

Crystal structure
```
data_PaBrCl4
_space_group_name_H-M_alt 'P 1 21/c 1'
_space_group_IT_number 14
_space_group_name_Hall '-P 2ybc'
_cell_length_a 5.740
_cell_length_b 7.540
_cell_length_c 13.599
_cell_angle_alpha 90.00
_cell_angle_beta 114.49
_cell_angle_gamma 90.00
loop_
_atom_site_label
_atom_site_type_symbol
_atom_site_fract_x
_atom_site_fract_y
_atom_site_fract_z
Pa1 Pa 0.000 0.000 0.000
Br1 Br 0.500 0.000 0.000
Cl1 Cl 0.093 0.207 0.595
Cl2 Cl 0.175 0.656 0.678
```